Starting from a DFT-relaxed cell (PBE, Alexandria), the X-ray powder pattern of TmTe3O8 was computed for a wavelength of 1.5418 Å.
Peak positions follow from Bragg's law for the DFT cell and can differ from measured ones.

Cell and atoms:
```
data_TmTe3O8
_chemical_formula_sum 'Tm4 Te12 O32'
_space_group_name_H-M_alt 'C 1 2/c 1'
_space_group_IT_number 15
_space_group_name_Hall '-C 2yc'
_cell_length_a 12.510
_cell_length_b 5.573
_cell_length_c 10.521
_cell_angle_alpha 90.00
_cell_angle_beta 116.49
_cell_angle_gamma 90.00
loop_
_atom_site_label
_atom_site_type_symbol
_atom_site_fract_x
_atom_site_fract_y
_atom_site_fract_z
Tm1 Tm 0.000 0.061 0.250
Te1 Te 0.000 0.500 0.000
Te2 Te 0.219 0.415 0.857
O1 O 0.082 0.260 0.670
O2 O 0.105 0.384 0.405
O3 O 0.113 0.248 0.136
O4 O 0.176 0.107 0.915
```

Most intense lines, 2θ = 15–90°, in order of rising 2θ:
2θ 26.73, d = 3.335 Å, rel. 19.2
2θ 27.98, d = 3.189 Å, rel. 100.0
2θ 28.54, d = 3.128 Å, rel. 96.6
2θ 31.97, d = 2.799 Å, rel. 23.8
2θ 32.14, d = 2.785 Å, rel. 21.8
2θ 33.54, d = 2.672 Å, rel. 18.9
2θ 34.10, d = 2.629 Å, rel. 28.1
2θ 45.96, d = 1.975 Å, rel. 18.1
2θ 47.55, d = 1.912 Å, rel. 17.3
2θ 57.05, d = 1.614 Å, rel. 16.8

Starting from a DFT-relaxed cell (PBE, Alexandria), the X-ray powder pattern of CrFe6Os was computed for a wavelength of 1.5418 Å.
Peak positions follow from Bragg's law for the DFT cell and can differ from measured ones.

Cell and atoms:
```
data_CrFe6Os
_chemical_formula_sum 'Cr8 Fe48 Os8'
_space_group_name_H-M_alt 'C m m m'
_space_group_IT_number 65
_space_group_name_Hall '-C 2 2'
_cell_length_a 7.256
_cell_length_b 9.997
_cell_length_c 9.976
_cell_angle_alpha 90.00
_cell_angle_beta 90.00
_cell_angle_gamma 90.00
loop_
_atom_site_label
_atom_site_type_symbol
_atom_site_fract_x
_atom_site_fract_y
_atom_site_fract_z
Cr1 Cr 0.000 0.000 0.248
Cr2 Cr 0.000 0.251 0.000
Fe1 Fe 0.000 0.000 0.000
Fe2 Fe 0.000 0.000 0.500
Fe3 Fe 0.000 0.249 0.247
Fe4 Fe 0.000 0.500 0.000
Fe5 Fe 0.000 0.500 0.500
Fe6 Fe 0.247 0.124 0.373
Fe7 Fe 0.247 0.126 0.123
Os1 Os 0.000 0.249 0.500
Os2 Os 0.000 0.500 0.248
```

Most intense lines, 2θ = 15–90°, in order of rising 2θ:
2θ 15.09, d = 5.872 Å, rel. 7.7
2θ 19.87, d = 4.469 Å, rel. 4.6
2θ 23.40, d = 3.802 Å, rel. 6.5
2θ 24.54, d = 3.628 Å, rel. 4.9
2θ 25.22, d = 3.531 Å, rel. 9.2
2θ 35.48, d = 2.530 Å, rel. 7.8
2θ 44.03, d = 2.057 Å, rel. 100.0
2θ 50.30, d = 1.814 Å, rel. 16.6
2θ 51.79, d = 1.765 Å, rel. 30.2
2θ 75.09, d = 1.265 Å, rel. 18.7

Starting from a DFT-relaxed cell (PBE, Alexandria), the X-ray powder pattern of KAc2F7 was computed for a wavelength of 1.5418 Å.
Peak positions follow from Bragg's law for the DFT cell and can differ from measured ones.

Cell and atoms:
```
data_KAc2F7
_chemical_formula_sum 'K2 Ac4 F14'
_space_group_name_H-M_alt 'I 4/m m m'
_space_group_IT_number 139
_space_group_name_Hall '-I 4 2'
_cell_length_a 4.480
_cell_length_b 4.480
_cell_length_c 17.341
_cell_angle_alpha 90.00
_cell_angle_beta 90.00
_cell_angle_gamma 90.00
loop_
_atom_site_label
_atom_site_type_symbol
_atom_site_fract_x
_atom_site_fract_y
_atom_site_fract_z
K1 K 0.000 0.000 0.000
Ac1 Ac 0.000 0.000 0.350
F1 F 0.000 0.000 0.500
F2 F 0.000 0.500 0.097
F3 F 0.000 0.500 0.250
```

Most intense lines, 2θ = 15–90°, in order of rising 2θ:
2θ 20.48, d = 4.337 Å, rel. 68.3
2θ 25.15, d = 3.541 Å, rel. 100.0
2θ 28.17, d = 3.168 Å, rel. 28.0
2θ 35.08, d = 2.558 Å, rel. 16.9
2θ 40.26, d = 2.240 Å, rel. 28.8
2θ 41.66, d = 2.168 Å, rel. 25.5
2θ 42.33, d = 2.135 Å, rel. 35.5
2θ 45.58, d = 1.990 Å, rel. 23.5
2θ 48.06, d = 1.893 Å, rel. 35.9
2θ 59.32, d = 1.558 Å, rel. 19.4